1.
Starting from the GGA-PBE geometry in OQMD, the powder X-ray diffraction pattern of LiHgB4 was computed for λ = 1.5418 Å (Cu Kα).
Peak positions follow from Bragg's law for the DFT cell and can differ from measured ones.

Structure:
a b c (Å): 3.066 3.066 7.530
angles (deg): 90.00 90.00 120.00
Positions (direct):
Li: 0.000 0.000 0.000
Hg: 0.000 0.000 0.500
B: 0.333 0.667 0.210
B: 0.333 0.667 0.790
B: 0.667 0.333 0.210
B: 0.667 0.333 0.790

Main lines, low angle first (2θ from 10° to 80°):
2θ/deg, d/Å, I/Imax
11.8, 7.530, 100
23.6, 3.765, 19
33.8, 2.655, 28
35.9, 2.505, 64
41.6, 2.170, 43
50.0, 1.824, 18
60.3, 1.536, 12
60.4, 1.533, 8
61.8, 1.502, 10
72.2, 1.308, 15

---

2.
Starting from the GGA-PBE geometry in OQMD, the powder X-ray diffraction pattern of K2PtC4S4N4 was computed for λ = 1.5418 Å (Cu Kα).
Peak positions follow from Bragg's law for the DFT cell and can differ from measured ones.

Structure:
a b c (Å): 4.098 14.351 11.406
angles (deg): 90.00 96.74 90.00
Positions (direct):
K: 0.052 0.203 0.480
K: 0.052 0.297 0.980
K: 0.948 0.703 0.020
K: 0.948 0.797 0.520
Pt: 0.500 0.000 0.500
Pt: 0.500 0.500 0.000
C: 0.404 0.621 0.781
C: 0.404 0.879 0.281
C: 0.452 0.101 0.261
C: 0.452 0.399 0.761
C: 0.548 0.601 0.239
C: 0.548 0.899 0.739
C: 0.596 0.121 0.719
C: 0.596 0.379 0.219
S: 0.376 0.118 0.123
S: 0.376 0.382 0.623
S: 0.409 0.643 0.644
S: 0.409 0.857 0.144
S: 0.591 0.143 0.856
S: 0.591 0.357 0.356
S: 0.624 0.618 0.377
S: 0.624 0.882 0.877
N: 0.400 0.604 0.884
N: 0.400 0.896 0.384
N: 0.488 0.589 0.134
N: 0.488 0.911 0.634
N: 0.512 0.089 0.366
N: 0.512 0.411 0.866
N: 0.600 0.104 0.616
N: 0.600 0.396 0.116

Main lines, low angle first (2θ from 10° to 80°):
2θ/deg, d/Å, I/Imax
12.3, 7.176, 64
15.6, 5.664, 84
20.1, 4.407, 72
21.8, 4.070, 94
23.2, 3.837, 79
24.4, 3.652, 83
25.2, 3.540, 99
28.3, 3.150, 61
29.5, 3.031, 65
30.6, 2.924, 100

---

3.
Starting from the GGA-PBE geometry in OQMD, the powder X-ray diffraction pattern of NdLuGa2Pd4 was computed for λ = 1.5418 Å (Cu Kα).
Peak positions follow from Bragg's law for the DFT cell and can differ from measured ones.

Structure:
a b c (Å): 4.415 4.415 9.139
angles (deg): 90.00 90.00 120.00
Positions (direct):
Nd: 0.000 0.000 0.000
Lu: 0.333 0.667 0.500
Ga: 0.667 0.333 0.258
Ga: 0.667 0.333 0.742
Pd: 0.000 0.000 0.339
Pd: 0.000 0.000 0.661
Pd: 0.333 0.667 0.183
Pd: 0.333 0.667 0.817

Main lines, low angle first (2θ from 10° to 80°):
2θ/deg, d/Å, I/Imax
23.3, 3.824, 23
25.2, 3.528, 7
30.5, 2.933, 15
37.8, 2.383, 100
40.9, 2.208, 78
56.9, 1.619, 30
66.0, 1.415, 11
72.4, 1.306, 29
74.4, 1.275, 13
75.9, 1.254, 10

---

4.
Starting from the GGA-PBE geometry in OQMD, the powder X-ray diffraction pattern of Pr4Al4O11 was computed for λ = 1.5418 Å (Cu Kα).
Peak positions follow from Bragg's law for the DFT cell and can differ from measured ones.

Structure:
a b c (Å): 5.303 5.343 7.518
angles (deg): 90.00 89.93 89.46
Positions (direct):
Pr: 0.000 0.000 0.000
Pr: 0.000 0.005 0.498
Pr: 0.494 0.496 0.498
Pr: 0.496 0.502 0.000
Al: 0.497 0.001 0.250
Al: 0.498 0.000 0.750
Al: 0.997 0.501 0.750
Al: 0.998 0.501 0.250
O: 0.011 0.452 0.001
O: 0.244 0.247 0.721
O: 0.246 0.753 0.232
O: 0.251 0.747 0.770
O: 0.484 0.049 0.001
O: 0.503 0.958 0.499
O: 0.744 0.254 0.731
O: 0.746 0.749 0.221
O: 0.749 0.249 0.269
O: 0.751 0.754 0.781
O: 0.992 0.543 0.499

Main lines, low angle first (2θ from 10° to 80°):
2θ/deg, d/Å, I/Imax
23.5, 3.782, 35
23.7, 3.753, 63
33.6, 2.668, 92
33.8, 2.653, 100
41.5, 2.177, 37
41.7, 2.167, 37
48.1, 1.891, 21
48.4, 1.880, 20
48.6, 1.873, 20
60.2, 1.537, 38

---

5.
Starting from the GGA-PBE geometry in OQMD, the powder X-ray diffraction pattern of DyCuTeS was computed for λ = 1.5418 Å (Cu Kα).
Peak positions follow from Bragg's law for the DFT cell and can differ from measured ones.

Structure:
a b c (Å): 6.301 7.439 7.395
angles (deg): 90.00 93.03 90.00
Positions (direct):
Dy: 0.141 0.022 0.273
Dy: 0.141 0.478 0.773
Dy: 0.859 0.522 0.227
Dy: 0.859 0.978 0.727
Cu: 0.426 0.658 0.465
Cu: 0.426 0.842 0.965
Cu: 0.574 0.158 0.035
Cu: 0.574 0.342 0.535
Te: 0.372 0.107 0.719
Te: 0.372 0.393 0.219
Te: 0.628 0.607 0.781
Te: 0.628 0.893 0.281
S: 0.077 0.730 0.499
S: 0.077 0.770 0.999
S: 0.923 0.230 0.001
S: 0.923 0.270 0.501

Main lines, low angle first (2θ from 10° to 80°):
2θ/deg, d/Å, I/Imax
22.5, 3.955, 20
23.9, 3.719, 19
24.1, 3.692, 39
30.1, 2.967, 35
31.1, 2.872, 33
32.6, 2.743, 100
33.8, 2.654, 57
34.2, 2.620, 57
38.5, 2.336, 30
40.8, 2.214, 23

---

6.
Starting from the GGA-PBE geometry in OQMD, the powder X-ray diffraction pattern of TlTcNO was computed for λ = 1.5418 Å (Cu Kα).
Peak positions follow from Bragg's law for the DFT cell and can differ from measured ones.

Structure:
a b c (Å): 6.589 7.539 5.338
angles (deg): 90.00 90.00 90.00
Positions (direct):
Tl: 0.085 0.142 0.000
Tl: 0.415 0.142 0.500
Tl: 0.585 0.858 0.000
Tl: 0.915 0.858 0.500
Tc: 0.070 0.565 0.009
Tc: 0.430 0.565 0.509
Tc: 0.570 0.435 0.009
Tc: 0.930 0.435 0.509
N: 0.171 0.527 0.672
N: 0.329 0.527 0.172
N: 0.671 0.473 0.672
N: 0.829 0.473 0.172
O: 0.004 0.808 0.999
O: 0.496 0.808 0.499
O: 0.504 0.192 0.999
O: 0.996 0.192 0.499

Main lines, low angle first (2θ from 10° to 80°):
2θ/deg, d/Å, I/Imax
24.5, 3.634, 26
27.1, 3.295, 23
27.3, 3.272, 28
31.9, 2.804, 64
32.1, 2.790, 100
33.6, 2.669, 43
35.7, 2.513, 24
47.9, 1.898, 24
59.0, 1.565, 23
59.8, 1.547, 24

---

7.
Starting from the GGA-PBE geometry in OQMD, the powder X-ray diffraction pattern of Cd2AsPO7 was computed for λ = 1.5418 Å (Cu Kα).
Peak positions follow from Bragg's law for the DFT cell and can differ from measured ones.

Structure:
a b c (Å): 5.593 5.593 4.747
angles (deg): 96.03 96.03 105.66
Positions (direct):
Cd: 0.198 0.802 0.000
Cd: 0.802 0.198 0.000
As: 0.283 0.283 0.579
P: 0.734 0.734 0.418
O: 0.096 0.427 0.747
O: 0.172 0.172 0.231
O: 0.427 0.096 0.747
O: 0.548 0.548 0.581
O: 0.589 0.873 0.233
O: 0.873 0.589 0.233
O: 0.914 0.914 0.665

Main lines, low angle first (2θ from 10° to 80°):
2θ/deg, d/Å, I/Imax
16.6, 5.333, 18
19.0, 4.675, 18
27.1, 3.295, 32
27.7, 3.226, 100
30.1, 2.966, 55
33.0, 2.713, 29
33.6, 2.667, 40
35.7, 2.512, 17
39.6, 2.278, 17
48.1, 1.893, 18

---

8.
Starting from the GGA-PBE geometry in OQMD, the powder X-ray diffraction pattern of Ag12Sb4Te13 was computed for λ = 1.5418 Å (Cu Kα).
Peak positions follow from Bragg's law for the DFT cell and can differ from measured ones.

Structure:
a b c (Å): 10.701 10.701 10.701
angles (deg): 109.47 109.47 109.47
Positions (direct):
Ag: 0.000 0.221 0.221
Ag: 0.000 0.779 0.779
Ag: 0.221 0.000 0.221
Ag: 0.221 0.221 0.000
Ag: 0.250 0.500 0.750
Ag: 0.250 0.750 0.500
Ag: 0.500 0.250 0.750
Ag: 0.500 0.750 0.250
Ag: 0.750 0.250 0.500
Ag: 0.750 0.500 0.250
Ag: 0.779 0.000 0.779
Ag: 0.779 0.779 0.000
Sb: 0.000 0.000 0.537
Sb: 0.000 0.537 0.000
Sb: 0.463 0.463 0.463
Sb: 0.537 0.000 0.000
Te: 0.000 0.000 0.000
Te: 0.000 0.241 0.482
Te: 0.000 0.482 0.241
Te: 0.241 0.000 0.482
Te: 0.241 0.482 0.000
Te: 0.241 0.759 0.759
Te: 0.482 0.000 0.241
Te: 0.482 0.241 0.000
Te: 0.518 0.518 0.759
Te: 0.518 0.759 0.518
Te: 0.759 0.241 0.759
Te: 0.759 0.518 0.518
Te: 0.759 0.759 0.241

Main lines, low angle first (2θ from 10° to 80°):
2θ/deg, d/Å, I/Imax
25.0, 3.567, 100
27.0, 3.302, 12
30.7, 2.913, 12
40.0, 2.256, 12
41.3, 2.184, 81
45.2, 2.005, 10
48.9, 1.863, 38
59.9, 1.545, 11
65.9, 1.417, 13
75.4, 1.261, 19

---

9.
Starting from the GGA-PBE geometry in OQMD, the powder X-ray diffraction pattern of TaMoS4 was computed for λ = 1.5418 Å (Cu Kα).
Peak positions follow from Bragg's law for the DFT cell and can differ from measured ones.

Structure:
a b c (Å): 19.877 3.261 3.261
angles (deg): 60.00 90.00 90.00
Positions (direct):
Ta: 0.000 0.000 0.000
Mo: 0.500 0.500 0.500
S: 0.080 0.333 0.333
S: 0.422 0.833 0.833
S: 0.578 0.833 0.833
S: 0.920 0.333 0.333

Main lines, low angle first (2θ from 10° to 80°):
2θ/deg, d/Å, I/Imax
17.8, 4.969, 74
32.0, 2.796, 89
33.0, 2.717, 50
34.5, 2.598, 92
36.6, 2.456, 55
39.1, 2.303, 100
42.0, 2.149, 49
45.3, 2.003, 71
52.6, 1.740, 32
56.6, 1.625, 55

---

10.
Starting from the GGA-PBE geometry in OQMD, the powder X-ray diffraction pattern of Tb3In3CuPdAu was computed for λ = 1.5418 Å (Cu Kα).
Peak positions follow from Bragg's law for the DFT cell and can differ from measured ones.

Structure:
a b c (Å): 7.773 7.773 3.844
angles (deg): 90.00 90.00 120.00
Positions (direct):
Tb: 0.079 0.738 0.000
Tb: 0.262 0.341 0.000
Tb: 0.659 0.921 0.000
In: 0.417 0.080 0.500
In: 0.663 0.583 0.500
In: 0.920 0.337 0.500
Cu: 0.667 0.333 0.000
Pd: 0.333 0.667 0.500
Au: 0.000 0.000 0.500

Main lines, low angle first (2θ from 10° to 80°):
2θ/deg, d/Å, I/Imax
32.8, 2.733, 100
35.3, 2.544, 54
35.4, 2.532, 80
40.2, 2.244, 35
42.6, 2.122, 22
47.3, 1.922, 21
54.6, 1.679, 17
60.4, 1.534, 23
63.8, 1.460, 18
65.1, 1.433, 28

---

11.
Starting from the GGA-PBE geometry in OQMD, the powder X-ray diffraction pattern of Sc3Si4Ni11 was computed for λ = 1.5418 Å (Cu Kα).
Peak positions follow from Bragg's law for the DFT cell and can differ from measured ones.

Structure:
a b c (Å): 7.931 7.931 8.333
angles (deg): 90.00 90.00 120.00
Positions (direct):
Sc: 0.197 0.395 0.250
Sc: 0.197 0.803 0.250
Sc: 0.395 0.197 0.750
Sc: 0.605 0.803 0.250
Sc: 0.803 0.197 0.750
Sc: 0.803 0.605 0.750
Si: 0.000 0.000 0.250
Si: 0.000 0.000 0.750
Si: 0.000 0.500 0.000
Si: 0.000 0.500 0.500
Si: 0.500 0.000 0.000
Si: 0.500 0.000 0.500
Si: 0.500 0.500 0.000
Si: 0.500 0.500 0.500
Ni: 0.122 0.561 0.750
Ni: 0.152 0.305 0.593
Ni: 0.152 0.305 0.907
Ni: 0.152 0.848 0.593
Ni: 0.152 0.848 0.907
Ni: 0.305 0.152 0.093
Ni: 0.305 0.152 0.407
Ni: 0.333 0.667 0.004
Ni: 0.333 0.667 0.496
Ni: 0.439 0.561 0.750
Ni: 0.439 0.878 0.750
Ni: 0.561 0.122 0.250
Ni: 0.561 0.439 0.250
Ni: 0.667 0.333 0.504
Ni: 0.667 0.333 0.996
Ni: 0.695 0.848 0.593
Ni: 0.695 0.848 0.907
Ni: 0.848 0.152 0.093
Ni: 0.848 0.152 0.407
Ni: 0.848 0.695 0.093
Ni: 0.848 0.695 0.407
Ni: 0.878 0.439 0.250

Main lines, low angle first (2θ from 10° to 80°):
2θ/deg, d/Å, I/Imax
16.7, 5.300, 35
33.8, 2.650, 13
40.9, 2.206, 85
41.8, 2.160, 100
45.5, 1.994, 18
45.8, 1.983, 79
48.0, 1.897, 39
51.0, 1.790, 19
52.8, 1.733, 18
75.7, 1.257, 17

---

12.
Starting from the GGA-PBE geometry in OQMD, the powder X-ray diffraction pattern of La2Pr2CI3Br2 was computed for λ = 1.5418 Å (Cu Kα).
Peak positions follow from Bragg's law for the DFT cell and can differ from measured ones.

Structure:
a b c (Å): 9.870 9.870 8.964
angles (deg): 102.82 102.82 24.06
Positions (direct):
La: 0.000 0.000 0.198
La: 0.000 0.000 0.802
Pr: 0.364 0.364 0.928
Pr: 0.636 0.636 0.072
C: 0.500 0.500 0.000
I: 0.173 0.173 0.823
I: 0.500 0.500 0.500
I: 0.827 0.827 0.177
Br: 0.161 0.161 0.323
Br: 0.839 0.839 0.677

Main lines, low angle first (2θ from 10° to 80°):
2θ/deg, d/Å, I/Imax
10.1, 8.730, 39
26.6, 3.345, 15
28.5, 3.134, 43
29.1, 3.072, 15
29.5, 3.031, 100
32.2, 2.780, 34
40.2, 2.241, 15
41.4, 2.183, 28
41.5, 2.175, 26
44.0, 2.057, 18